1.
Starting from a structure optimized by DFT (GGA-PBE), the X-ray diffraction stick pattern of NbN was computed for a wavelength of 1.5418 Å.
Intensities are scaled so that the largest is 100.

Principal peaks in the range 10 to 80 degrees two-theta, low angle first:
- 32.4 deg, intensity 100, (1 1 1)
- 37.5 deg, intensity 36, (2 0 0)
- 54.1 deg, intensity 41, (2 2 0)
- 64.5 deg, intensity 39, (3 1 1)
- 67.7 deg, intensity 9, (2 2 2)

Structure:
abc: 4.792 4.792 4.792
angles: 90.00 90.00 90.00
Space group F-43m (No. 216)
One atom of each set of equivalent atoms:
Nb1 0.000 0.000 0.000
N1 0.250 0.250 0.750

***

2.
Starting from a structure optimized by DFT (GGA-PBE), the X-ray diffraction stick pattern of Nb16N13 was computed for a wavelength of 1.5418 Å.
Intensities are scaled so that the largest is 100.

Principal peaks in the range 10 to 80 degrees two-theta, low angle first:
- 35.2 deg, intensity 100, (2 2 0)
- 36.9 deg, intensity 1, (1 3 2)
- 40.7 deg, intensity 52, (2 0 4)
- 41.2 deg, intensity 25, (0 4 0)
- 58.9 deg, intensity 16, (0 0 8)
- 59.3 deg, intensity 32, (2 4 4)
- 70.5 deg, intensity 26, (4 2 4)
- 71.3 deg, intensity 12, (2 6 0)
- 74.4 deg, intensity 16, (0 4 8)

Structure:
abc: 6.269 8.757 12.539
angles: 90.00 90.00 90.00
Space group Immm (No. 71)
One atom of each set of equivalent atoms:
Nb1 0.000 0.240 0.250
Nb2 0.000 0.249 0.000
Nb3 0.000 0.257 0.500
Nb4 0.240 0.000 0.370
Nb5 0.250 0.000 0.126
N1 0.000 0.000 0.000
N2 0.000 0.000 0.500
N3 0.000 0.500 0.000
N4 0.000 0.500 0.250
N5 0.249 0.250 0.375

***

3.
Starting from a structure optimized by DFT (GGA-PBE), the X-ray diffraction stick pattern of NbN was computed for a wavelength of 1.5418 Å.
Intensities are scaled so that the largest is 100.

Principal peaks in the range 10 to 80 degrees two-theta, low angle first:
- 29.5 deg, intensity 36, (0 0 2)
- 32.3 deg, intensity 32, (1 0 0)
- 35.6 deg, intensity 100, (1 0 1)
- 44.3 deg, intensity 18, (1 0 2)
- 56.3 deg, intensity 36, (1 0 3)
- 57.6 deg, intensity 22, (1 1 0)
- 61.1 deg, intensity 5, (0 0 4)
- 66.0 deg, intensity 21, (1 1 2)
- 69.6 deg, intensity 14, (2 0 1)
- 70.8 deg, intensity 4, (1 0 4)

Structure:
abc: 3.2006 3.2006 6.0657
angles: 90.00 90.00 120.00
Space group P6_3mc (No. 186)
One atom of each set of equivalent atoms:
Nb1 0.3333 0.6667 0.0000
N1 0.3333 0.6667 0.6712